Structure and theoretical PXRD pattern of HoIrAu (a DFT-relaxed cell (PBE, OQMD); Cu Kα (weighted mean of Kα1 and Kα2)).
Kinematic intensities with the Lorentz-polarization factor, no thermal factor.

Crystal structure
Lattice parameters (Å, degrees): 6.477 6.477 6.477 90.00 90.00 90.00
Space group F-43m (No. 216)
One atom of each set of equivalent atoms:
1 Ho 0.000 0.000 0.000
2 Ir 0.250 0.250 0.750
3 Au 0.000 0.000 0.500

Main lines, in order of falling intensity (2θ from 10° to 90°):
hkl  two_theta  d (Å)  Rel. int.
2 2 0  39.35  2.290  100
4 2 2  71.34  1.322  35
1 1 1  23.80  3.739  30
4 0 0  56.86  1.619  17
3 1 1  46.50  1.953  15
2 0 0  27.54  3.238  12
4 4 0  84.65  1.145  12
3 3 1  62.51  1.486  6
5 3 1  89.53  1.095  5
5 1 1  76.41  1.246  5